(1)
Computed powder diffraction line list of NaCaSe3 for copper Kα, from the GGA-PBE geometry in Alexandria.

Structural model:
Cell lengths 5.5790, 5.5790, 5.5790 Å; angles 90.00, 90.00, 90.00 degrees
Positions (direct):
Na 0.0000 0.0000 0.0000
Ca 0.5000 0.5000 0.5000
Se 0.0000 0.5000 0.5000
Se 0.5000 0.0000 0.5000
Se 0.5000 0.5000 0.0000

Largest 6 diffraction maxima, low angle first, 10° ≤ 2θ ≤ 80°:
| 2theta | I_rel |
| --- | --- |
| 15.89 | 58 |
| 27.70 | 100 |
| 32.09 | 98 |
| 46.01 | 69 |
| 54.55 | 44 |
| 76.34 | 30 |


(2)
Computed powder diffraction line list of PaSbAs2Ru5 for copper Kα, from the GGA-PBE geometry in Alexandria.

Structural model:
Cell lengths 3.9729, 3.9729, 11.0809 Å; angles 90.00, 90.00, 90.00 degrees
Positions (direct):
Pa 0.0000 0.0000 0.0000
Sb 0.0000 0.0000 0.5000
As 0.5000 0.5000 0.2182
As 0.5000 0.5000 0.7818
Ru 0.0000 0.5000 0.3409
Ru 0.0000 0.5000 0.6591
Ru 0.5000 0.0000 0.3409
Ru 0.5000 0.0000 0.6591
Ru 0.5000 0.5000 0.0000

Largest 6 diffraction maxima, low angle first, 10° ≤ 2θ ≤ 80°:
| 2theta | I_rel |
| --- | --- |
| 24.09 | 58 |
| 27.63 | 87 |
| 32.89 | 80 |
| 35.84 | 68 |
| 45.67 | 77 |
| 46.01 | 100 |


(3)
Computed powder diffraction line list of Nd4Er4Th for copper Kα, from the GGA-PBE geometry in Alexandria.

Structural model:
Cell lengths 8.0303, 8.0303, 8.0303 Å; angles 95.81, 95.81, 142.89 degrees
Positions (direct):
Nd 0.1636 0.1636 0.3272
Nd 0.1636 0.8364 0.0000
Nd 0.8364 0.1636 0.0000
Nd 0.8364 0.8364 0.6728
Er 0.1661 0.5000 0.6661
Er 0.5000 0.1661 0.6661
Er 0.5000 0.8339 0.3339
Er 0.8339 0.5000 0.3339
Th 0.5000 0.5000 0.0000

Largest 6 diffraction maxima, low angle first, 10° ≤ 2θ ≤ 80°:
| 2theta | I_rel |
| --- | --- |
| 30.44 | 100 |
| 35.12 | 17 |
| 35.37 | 34 |
| 50.70 | 24 |
| 60.13 | 15 |
| 60.46 | 29 |